# 1
Starting from the GGA-PBE geometry in Alexandria, the X-ray powder pattern of Ca4Cu5O10 was calculated for Cu Kα, 1.54184 Å.
Kinematic intensities with the Lorentz-polarization factor, no thermal factor.

Cell and atoms:
```
Ca4Cu5O10
1.0
5.342 -6.973 0.000
5.342 6.973 0.000
0.000 0.000 6.471
Ca Cu O
8 10 20
direct
0.061 0.439 0.750 Ca
0.185 0.315 0.250 Ca
0.315 0.185 0.750 Ca
0.439 0.061 0.250 Ca
0.561 0.939 0.750 Ca
0.685 0.815 0.250 Ca
0.815 0.685 0.750 Ca
0.939 0.561 0.250 Ca
0.000 0.000 0.000 Cu
0.101 0.899 0.523 Cu
0.201 0.799 0.038 Cu
0.299 0.701 0.538 Cu
0.399 0.601 0.023 Cu
0.500 0.500 0.500 Cu
0.601 0.399 0.977 Cu
0.701 0.299 0.462 Cu
0.799 0.201 0.962 Cu
0.899 0.101 0.477 Cu
0.024 0.217 0.964 O
0.071 0.677 0.558 O
0.118 0.118 0.500 O
0.177 0.571 0.058 O
0.217 0.024 0.036 O
0.283 0.476 0.536 O
0.323 0.929 0.558 O
0.382 0.382 0.000 O
0.429 0.823 0.058 O
0.476 0.283 0.464 O
0.524 0.717 0.536 O
0.571 0.177 0.942 O
0.618 0.618 0.000 O
0.677 0.071 0.442 O
0.717 0.524 0.464 O
0.783 0.976 0.964 O
0.823 0.429 0.942 O
0.882 0.882 0.500 O
0.929 0.323 0.442 O
0.976 0.783 0.036 O
```

Top 12 peaks for 10 to 90 degrees two-theta, low angle first:
16.6 deg, I 31
27.6 deg, I 28
29.1 deg, I 17
29.6 deg, I 16
32.4 deg, I 100
33.6 deg, I 22
36.1 deg, I 30
43.5 deg, I 66
45.0 deg, I 17
52.8 deg, I 15
56.0 deg, I 30
60.1 deg, I 16


# 2
Starting from the GGA-PBE geometry in Alexandria, the X-ray powder pattern of K4ZrTe4 was calculated for Cu Kα, 1.54184 Å.
Kinematic intensities with the Lorentz-polarization factor, no thermal factor.

Cell and atoms:
```
K4ZrTe4
1.0
10.030 0.000 0.000
0.000 10.030 0.000
0.000 0.000 7.782
K Zr Te
8 2 8
direct
0.023 0.250 0.091 K
0.250 0.023 0.591 K
0.250 0.477 0.591 K
0.477 0.250 0.091 K
0.523 0.750 0.909 K
0.750 0.523 0.409 K
0.750 0.977 0.409 K
0.977 0.750 0.909 K
0.250 0.750 0.250 Zr
0.750 0.250 0.750 Zr
0.025 0.750 0.452 Te
0.250 0.525 0.048 Te
0.250 0.975 0.048 Te
0.475 0.750 0.452 Te
0.525 0.250 0.548 Te
0.750 0.025 0.952 Te
0.750 0.475 0.952 Te
0.975 0.250 0.548 Te
```

Top 12 peaks for 10 to 90 degrees two-theta, low angle first:
12.5 deg, I 34
14.4 deg, I 45
21.1 deg, I 100
22.9 deg, I 41
24.5 deg, I 28
25.1 deg, I 91
30.4 deg, I 62
34.2 deg, I 84
35.8 deg, I 60
41.9 deg, I 28
51.2 deg, I 26
54.6 deg, I 36


# 3
Starting from the GGA-PBE geometry in Alexandria, the X-ray powder pattern of AlTc4Te was calculated for Cu Kα, 1.54184 Å.
Kinematic intensities with the Lorentz-polarization factor, no thermal factor.

Cell and atoms:
```
AlTc4Te
1.0
0.000 3.700 3.700
3.700 0.000 3.700
3.700 3.700 0.000
Al Tc Te
1 4 1
direct
0.000 0.000 0.000 Al
0.375 0.375 0.375 Tc
0.375 0.375 0.874 Tc
0.375 0.874 0.375 Tc
0.874 0.375 0.375 Tc
0.750 0.750 0.750 Te
```

Top 12 peaks for 10 to 90 degrees two-theta, low angle first:
20.8 deg, I 27
24.1 deg, I 9
34.3 deg, I 18
40.4 deg, I 100
42.3 deg, I 50
49.3 deg, I 9
54.0 deg, I 6
61.4 deg, I 7
65.6 deg, I 31
72.2 deg, I 27
86.2 deg, I 11
87.4 deg, I 18


# 4
Starting from the GGA-PBE geometry in Alexandria, the X-ray powder pattern of Er2TmAu3 was calculated for Cu Kα, 1.54184 Å.
Kinematic intensities with the Lorentz-polarization factor, no thermal factor.

Cell and atoms:
```
Er2TmAu3
1.0
3.543 0.000 0.000
0.000 3.543 0.000
0.000 0.000 10.795
Er Tm Au
2 1 3
direct
0.000 0.000 0.167 Er
0.000 0.000 0.833 Er
0.000 0.000 0.500 Tm
0.500 0.500 0.000 Au
0.500 0.500 0.335 Au
0.500 0.500 0.665 Au
```

Top 12 peaks for 10 to 90 degrees two-theta, low angle first:
25.1 deg, I 1
35.6 deg, I 100
35.8 deg, I 49
50.7 deg, I 9
51.6 deg, I 18
63.7 deg, I 19
64.2 deg, I 36
75.3 deg, I 12
76.0 deg, I 6
85.5 deg, I 9
86.8 deg, I 8
87.0 deg, I 8


# 5
Starting from the GGA-PBE geometry in Alexandria, the X-ray powder pattern of Na4PuSe4 was calculated for Cu Kα, 1.54184 Å.
Kinematic intensities with the Lorentz-polarization factor, no thermal factor.

Cell and atoms:
```
Na4PuSe4
1.0
-3.558 3.558 6.243
3.558 -3.558 6.243
3.558 3.558 -6.243
Na Pu Se
4 1 4
direct
0.000 0.500 0.500 Na
0.208 0.208 0.000 Na
0.500 0.000 0.500 Na
0.792 0.792 0.000 Na
0.500 0.500 0.000 Pu
0.158 0.602 0.000 Se
0.398 0.398 0.556 Se
0.602 0.158 0.000 Se
0.842 0.842 0.444 Se
```

Top 12 peaks for 10 to 90 degrees two-theta, low angle first:
14.2 deg, I 25
14.3 deg, I 100
17.6 deg, I 27
22.7 deg, I 61
24.8 deg, I 23
28.9 deg, I 36
35.5 deg, I 33
35.7 deg, I 31
38.4 deg, I 49
42.7 deg, I 19
46.6 deg, I 18
65.9 deg, I 16


# 6
Starting from the GGA-PBE geometry in Alexandria, the X-ray powder pattern of YTh2Pd was calculated for Cu Kα, 1.54184 Å.
Kinematic intensities with the Lorentz-polarization factor, no thermal factor.

Cell and atoms:
```
YTh2Pd
1.0
3.728 0.000 0.000
0.000 11.778 0.000
0.000 0.000 10.358
Y Th Pd
4 8 4
direct
0.000 0.082 0.250 Y
0.000 0.918 0.750 Y
0.500 0.418 0.750 Y
0.500 0.582 0.250 Y
0.000 0.365 0.050 Th
0.000 0.365 0.450 Th
0.000 0.635 0.550 Th
0.000 0.635 0.950 Th
0.500 0.135 0.550 Th
0.500 0.135 0.950 Th
0.500 0.865 0.050 Th
0.500 0.865 0.450 Th
0.000 0.218 0.750 Pd
0.000 0.782 0.250 Pd
0.500 0.282 0.250 Pd
0.500 0.718 0.750 Pd
```

Top 12 peaks for 10 to 90 degrees two-theta, low angle first:
25.1 deg, I 26
30.0 deg, I 71
30.4 deg, I 35
30.5 deg, I 100
33.1 deg, I 34
34.3 deg, I 43
35.1 deg, I 44
36.3 deg, I 62
37.5 deg, I 64
46.5 deg, I 28
55.9 deg, I 30
65.0 deg, I 25


# 7
Starting from the GGA-PBE geometry in Alexandria, the X-ray powder pattern of NbFe8W3 was calculated for Cu Kα, 1.54184 Å.
Kinematic intensities with the Lorentz-polarization factor, no thermal factor.

Cell and atoms:
```
NbFe8W3
1.0
4.701 0.000 0.000
-2.351 4.071 0.000
0.000 0.000 7.818
Nb Fe W
1 8 3
direct
0.000 0.000 0.000 Nb
0.163 0.327 0.681 Fe
0.163 0.837 0.681 Fe
0.333 0.667 0.431 Fe
0.333 0.667 0.932 Fe
0.504 0.009 0.184 Fe
0.504 0.496 0.184 Fe
0.673 0.837 0.681 Fe
0.991 0.496 0.184 Fe
0.000 0.000 0.367 W
0.667 0.333 0.500 W
0.667 0.333 0.856 W
```

Top 12 peaks for 10 to 90 degrees two-theta, low angle first:
21.8 deg, I 17
24.7 deg, I 20
38.3 deg, I 61
41.1 deg, I 100
44.5 deg, I 14
45.0 deg, I 79
46.1 deg, I 51
71.2 deg, I 37
73.9 deg, I 17
76.9 deg, I 26
82.0 deg, I 19
89.3 deg, I 17


# 8
Starting from the GGA-PBE geometry in Alexandria, the X-ray powder pattern of Sm2CuPdO5 was calculated for Cu Kα, 1.54184 Å.
Kinematic intensities with the Lorentz-polarization factor, no thermal factor.

Cell and atoms:
```
Sm2CuPdO5
1.0
6.699 0.000 0.000
0.000 6.699 0.000
0.000 0.000 5.726
Sm Cu Pd O
4 2 2 10
direct
0.174 0.326 0.000 Sm
0.326 0.826 0.000 Sm
0.674 0.174 0.000 Sm
0.826 0.674 0.000 Sm
0.000 0.000 0.500 Cu
0.500 0.500 0.500 Cu
0.000 0.500 0.500 Pd
0.500 0.000 0.500 Pd
0.000 0.000 0.000 O
0.139 0.639 0.245 O
0.139 0.639 0.755 O
0.361 0.139 0.245 O
0.361 0.139 0.755 O
0.500 0.500 0.000 O
0.639 0.861 0.245 O
0.639 0.861 0.755 O
0.861 0.361 0.245 O
0.861 0.361 0.755 O
```

Top 12 peaks for 10 to 90 degrees two-theta, low angle first:
15.5 deg, I 23
18.7 deg, I 21
29.8 deg, I 27
30.9 deg, I 100
31.2 deg, I 40
33.8 deg, I 67
38.0 deg, I 22
43.7 deg, I 49
45.7 deg, I 23
50.0 deg, I 19
55.4 deg, I 19
57.3 deg, I 26


# 9
Starting from the GGA-PBE geometry in Alexandria, the X-ray powder pattern of NaTcSnO5 was calculated for Cu Kα, 1.54184 Å.
Kinematic intensities with the Lorentz-polarization factor, no thermal factor.

Cell and atoms:
```
NaTcSnO5
1.0
3.495 -4.787 0.000
3.495 4.787 0.000
-2.736 0.000 6.886
Na Tc Sn O
2 2 2 10
direct
0.179 0.821 0.750 Na
0.821 0.179 0.250 Na
0.179 0.821 0.250 Tc
0.821 0.179 0.750 Tc
0.500 0.500 0.000 Sn
0.500 0.500 0.500 Sn
0.116 0.252 0.934 O
0.183 0.583 0.375 O
0.252 0.116 0.434 O
0.417 0.817 0.125 O
0.419 0.581 0.750 O
0.581 0.419 0.250 O
0.583 0.183 0.875 O
0.748 0.884 0.566 O
0.817 0.417 0.625 O
0.884 0.748 0.066 O
```

Top 12 peaks for 10 to 90 degrees two-theta, low angle first:
16.5 deg, I 53
17.6 deg, I 48
23.9 deg, I 27
26.1 deg, I 100
27.5 deg, I 81
31.2 deg, I 94
32.0 deg, I 77
35.5 deg, I 28
41.3 deg, I 30
48.9 deg, I 26
51.0 deg, I 35
57.8 deg, I 31


# 10
Starting from the GGA-PBE geometry in Alexandria, the X-ray powder pattern of DyGaAg3 was calculated for Cu Kα, 1.54184 Å.
Kinematic intensities with the Lorentz-polarization factor, no thermal factor.

Cell and atoms:
```
DyGaAg3
1.0
4.780 0.000 0.000
0.000 6.563 0.000
0.000 0.000 6.397
Dy Ga Ag
2 2 6
direct
0.250 0.250 0.246 Dy
0.750 0.750 0.754 Dy
0.250 0.750 0.445 Ga
0.750 0.250 0.555 Ga
0.250 0.044 0.731 Ag
0.250 0.456 0.731 Ag
0.250 0.750 0.052 Ag
0.750 0.250 0.948 Ag
0.750 0.544 0.269 Ag
0.750 0.956 0.269 Ag
```

Top 12 peaks for 10 to 90 degrees two-theta, low angle first:
27.9 deg, I 16
36.0 deg, I 100
36.5 deg, I 76
37.6 deg, I 43
43.7 deg, I 12
44.7 deg, I 11
60.6 deg, I 14
66.9 deg, I 16
67.2 deg, I 12
73.6 deg, I 17
81.8 deg, I 14
83.6 deg, I 13


# 11
Starting from the GGA-PBE geometry in Alexandria, the X-ray powder pattern of Zr2Ni was calculated for Cu Kα, 1.54184 Å.
Kinematic intensities with the Lorentz-polarization factor, no thermal factor.

Cell and atoms:
```
Zr2Ni
1.0
8.355 0.000 0.000
0.000 6.499 0.000
-3.296 0.000 4.102
Zr Ni
8 4
direct
0.163 0.163 0.164 Zr
0.163 0.837 0.664 Zr
0.337 0.337 0.836 Zr
0.337 0.663 0.336 Zr
0.663 0.337 0.664 Zr
0.663 0.663 0.164 Zr
0.837 0.163 0.336 Zr
0.837 0.837 0.836 Zr
0.000 0.499 0.750 Ni
0.000 0.501 0.250 Ni
0.500 0.001 0.250 Ni
0.500 0.999 0.750 Ni
```

Top 12 peaks for 10 to 90 degrees two-theta, low angle first:
34.1 deg, I 20
35.2 deg, I 100
35.3 deg, I 99
39.2 deg, I 21
39.4 deg, I 24
39.5 deg, I 24
44.0 deg, I 69
44.3 deg, I 44
61.4 deg, I 24
61.7 deg, I 19
61.8 deg, I 19
71.0 deg, I 19


# 12
Starting from the GGA-PBE geometry in Alexandria, the X-ray powder pattern of Pr3Nd2Y was calculated for Cu Kα, 1.54184 Å.
Kinematic intensities with the Lorentz-polarization factor, no thermal factor.

Cell and atoms:
```
Pr3Nd2Y
1.0
10.426 0.000 0.000
0.000 3.682 0.000
-0.006 0.000 11.026
Pr Nd Y
6 4 2
direct
0.124 0.250 0.417 Pr
0.372 0.750 0.915 Pr
0.375 0.750 0.250 Pr
0.625 0.250 0.750 Pr
0.628 0.250 0.085 Pr
0.876 0.750 0.583 Pr
0.123 0.250 0.083 Nd
0.373 0.750 0.584 Nd
0.627 0.250 0.416 Nd
0.877 0.750 0.917 Nd
0.124 0.250 0.750 Y
0.876 0.750 0.250 Y
```

Top 12 peaks for 10 to 90 degrees two-theta, low angle first:
29.7 deg, I 100
34.5 deg, I 51
49.5 deg, I 30
49.6 deg, I 6
58.8 deg, I 29
58.9 deg, I 14
61.7 deg, I 12
72.7 deg, I 4
80.4 deg, I 14
80.5 deg, I 3
82.9 deg, I 8
83.0 deg, I 5


What is the formula in the second record?
K4ZrTe4